Diffraction record for BaY2CoO5. The powder X-ray diffraction pattern is theoretical, not measured: it uses a cell relaxed with PBE+U and CuKα.
Lines closer than 0.1° are merged.

a = 12.391 Å, b = 5.770 Å, c = 7.159 Å
α = 90.00°, β = 90.00°, γ = 90.00°
Fractional positions:
Ba (0.100, 0.250, 0.079)
Ba (0.400, 0.750, 0.579)
Ba (0.600, 0.250, 0.421)
Ba (0.900, 0.750, 0.921)
Y (0.075, 0.750, 0.401)
Y (0.208, 0.250, 0.619)
Y (0.292, 0.750, 0.119)
Y (0.425, 0.250, 0.901)
Y (0.575, 0.750, 0.099)
Y (0.708, 0.250, 0.881)
Y (0.792, 0.750, 0.381)
Y (0.925, 0.250, 0.599)
Co (0.152, 0.750, 0.808)
Co (0.348, 0.250, 0.308)
Co (0.652, 0.750, 0.692)
Co (0.848, 0.250, 0.192)
O (0.066, 0.505, 0.667)
O (0.066, 0.995, 0.667)
O (0.102, 0.750, 0.075)
O (0.225, 0.002, 0.359)
O (0.225, 0.498, 0.359)
O (0.275, 0.502, 0.859)
O (0.275, 0.998, 0.859)
O (0.398, 0.250, 0.575)
O (0.434, 0.005, 0.167)
O (0.434, 0.495, 0.167)
O (0.566, 0.505, 0.833)
O (0.566, 0.995, 0.833)
O (0.602, 0.750, 0.425)
O (0.725, 0.002, 0.141)
O (0.725, 0.498, 0.141)
O (0.775, 0.502, 0.641)
O (0.775, 0.998, 0.641)
O (0.898, 0.250, 0.925)
O (0.934, 0.005, 0.333)
O (0.934, 0.495, 0.333)

Principal peaks in the range 10 to 90 degrees two-theta, by intensity:
2θ/deg  Rel. int.
29.38  100
30.26  85
31.00  52
44.76  34
54.15  22
40.51  20
54.68  19
31.47  18
36.69  18
51.87  17
35.19  15
58.36  15

Diffraction record for LiMnNiO4. The powder X-ray diffraction pattern is theoretical, not measured: it uses a cell relaxed with PBE+U and CuKα.
Lines closer than 0.1° are merged.

a = 5.869 Å, b = 5.869 Å, c = 5.869 Å
α = 121.46°, β = 121.31°, γ = 87.62°
Fractional positions:
Li (0.381, 0.131, 0.250)
Li (0.619, 0.869, 0.750)
Mn (0.000, 0.500, 0.500)
Mn (0.500, 0.500, 0.000)
Ni (0.000, 0.000, 0.500)
Ni (0.000, 0.500, 0.000)
O (0.200, 0.729, 0.471)
O (0.242, 0.271, 0.971)
O (0.248, 0.276, 0.527)
O (0.248, 0.721, 0.973)
O (0.752, 0.279, 0.027)
O (0.752, 0.724, 0.473)
O (0.758, 0.729, 0.029)
O (0.800, 0.271, 0.529)

Principal peaks in the range 10 to 90 degrees two-theta, by intensity:
2θ/deg  Rel. int.
18.66  100
44.60  34
36.54  30
63.45  22
42.70  20
35.42  18
37.84  13
58.97  12
47.87  8
56.64  6
64.83  5
65.00  5

Diffraction record for CrO. The powder X-ray diffraction pattern is theoretical, not measured: it uses a cell relaxed with PBE+U and CuKα.
Lines closer than 0.1° are merged.

a = 3.035 Å, b = 3.035 Å, c = 5.450 Å
α = 91.05°, β = 91.05°, γ = 94.78°
Fractional positions:
Cr (0.000, 0.500, 0.000)
Cr (0.500, 0.000, 0.500)
O (0.007, 0.993, 0.750)
O (0.993, 0.007, 0.250)

Principal peaks in the range 10 to 90 degrees two-theta, by intensity:
2θ/deg  Rel. int.
34.19  100
33.61  99
53.01  40
32.88  26
61.30  24
58.79  18
55.28  17
59.93  16
56.86  16
29.54  15
40.37  15
44.08  11

Diffraction record for LiMnAlO3. The powder X-ray diffraction pattern is theoretical, not measured: it uses a cell relaxed with PBE+U and CuKα.
Lines closer than 0.1° are merged.

a = 5.773 Å, b = 5.782 Å, c = 5.802 Å
α = 90.86°, β = 119.27°, γ = 119.45°
Fractional positions:
Li (0.124, 0.428, 0.389)
Li (0.876, 0.572, 0.611)
Mn (0.186, 0.935, 0.250)
Mn (0.814, 0.065, 0.750)
Al (0.454, 0.272, 0.882)
Al (0.546, 0.728, 0.118)
O (0.166, 0.952, 0.878)
O (0.231, 0.447, 0.781)
O (0.445, 0.742, 0.355)
O (0.555, 0.258, 0.645)
O (0.769, 0.553, 0.219)
O (0.834, 0.048, 0.122)

Principal peaks in the range 10 to 90 degrees two-theta, by intensity:
2θ/deg  Rel. int.
30.71  100
38.03  80
18.69  76
21.54  50
21.87  45
36.15  39
30.83  33
54.70  32
37.75  27
54.80  26
54.54  25
49.30  22

Diffraction record for CuWO3F2. The powder X-ray diffraction pattern is theoretical, not measured: it uses a cell relaxed with PBE+U and CuKα.
Lines closer than 0.1° are merged.

a = 3.785 Å, b = 9.812 Å, c = 5.285 Å
α = 90.00°, β = 105.73°, γ = 90.00°
Fractional positions:
Cu (0.000, 0.000, 0.000)
Cu (0.000, 0.500, 0.000)
W (0.208, 0.250, 0.527)
W (0.792, 0.750, 0.473)
O (0.120, 0.109, 0.302)
O (0.120, 0.391, 0.302)
O (0.265, 0.750, 0.398)
O (0.735, 0.250, 0.602)
O (0.880, 0.609, 0.698)
O (0.880, 0.891, 0.698)
F (0.333, 0.112, 0.848)
F (0.333, 0.388, 0.848)
F (0.667, 0.612, 0.152)
F (0.667, 0.888, 0.152)

Principal peaks in the range 10 to 90 degrees two-theta, by intensity:
2θ/deg  Rel. int.
25.22  100
26.09  50
27.51  33
18.08  21
17.43  21
51.78  15
44.06  14
31.80  14
35.29  13
24.43  11
36.64  11
35.18  11

Number 1 is which compound?
BaY2CoO5